This entry pairs a crystal structure of Zr4Hg3 with its simulated PXRD pattern. Radiation: λ = 1.5418 Å (Cu Kα). Structure: DFT lattice parameters and positions (GGA-PBE).
Lines closer than 0.1° are merged.

Most intense lines, 15 to 90 degrees two-theta, by intensity:
hkl 2 0 1, 2θ 40.0, rel. 100; hkl 2 0 0, 2θ 36.3, rel. 68; hkl 1 0 2, 2θ 37.6, rel. 58; hkl 0 0 1, 2θ 16.2, rel. 49; hkl 1 1 1, 2θ 35.5, rel. 48; hkl 2 0 3, 2θ 63.4, rel. 31; hkl 2 1 2, 2θ 59.9, rel. 29; hkl 2 2 0, 2θ 65.3, rel. 24

Structural model:
```
data_Zr4Hg3
_symmetry_space_group_name_H-M 'P 6/m m m'
_symmetry_Int_Tables_number 191
_symmetry_space_group_name_Hall '-P 6 2'
_cell_length_a 5.7146
_cell_length_b 5.7146
_cell_length_c 5.4619
_cell_angle_alpha 90.00
_cell_angle_beta 90.00
_cell_angle_gamma 120.00
loop_
_atom_site_label
_atom_site_type_symbol
_atom_site_fract_x
_atom_site_fract_y
_atom_site_fract_z
Zr1 Zr 0.0000 0.0000 0.2370
Zr2 Zr 0.3333 0.6667 0.0000
Hg1 Hg 0.0000 0.5000 0.5000
```

This entry pairs a crystal structure of Li2CaGaRh with its simulated PXRD pattern. Radiation: λ = 1.5418 Å (Cu Kα). Structure: DFT lattice parameters and positions (GGA-PBE).
Lines closer than 0.1° are merged.

Most intense lines, 15 to 90 degrees two-theta, by intensity:
hkl 1 1 0, 2θ 26.8, rel. 100; hkl 1 0 0, 2θ 18.9, rel. 96; hkl 2 0 0, 2θ 38.3, rel. 46; hkl 1 1 2, 2θ 46.8, rel. 42; hkl 2 0 2, 2θ 54.8, rel. 31; hkl 1 0 1, 2θ 26.6, rel. 26; hkl 1 0 2, 2θ 42.5, rel. 24; hkl 0 0 2, 2θ 37.7, rel. 24

Structural model:
```
data_Li2CaGaRh
_symmetry_space_group_name_H-M 'P 4/m m m'
_symmetry_Int_Tables_number 123
_symmetry_space_group_name_Hall '-P 4 2'
_cell_length_a 4.704
_cell_length_b 4.704
_cell_length_c 4.776
_cell_angle_alpha 90.00
_cell_angle_beta 90.00
_cell_angle_gamma 90.00
loop_
_atom_site_label
_atom_site_type_symbol
_atom_site_fract_x
_atom_site_fract_y
_atom_site_fract_z
Li1 Li 0.000 0.500 0.000
Ca1 Ca 0.000 0.000 0.500
Ga1 Ga 0.500 0.500 0.500
Rh1 Rh 0.500 0.500 0.000
```

This entry pairs a crystal structure of NaCe3In4 with its simulated PXRD pattern. Radiation: λ = 1.5418 Å (Cu Kα). Structure: DFT lattice parameters and positions (GGA-PBE).
Lines closer than 0.1° are merged.

Most intense lines, 15 to 90 degrees two-theta, by intensity:
hkl 1 1 2, 2θ 34.9, rel. 100; hkl 0 2 0, 2θ 30.8, rel. 70; hkl 1 3 2, 2θ 57.4, rel. 46; hkl 0 2 4, 2θ 44.1, rel. 26; hkl 2 2 4, 2θ 73.7, rel. 11; hkl 1 3 6, 2θ 75.2, rel. 10; hkl 2 2 0, 2θ 65.1, rel. 8; hkl 2 0 4, 2θ 65.1, rel. 8

Structural model:
```
data_NaCe3In4
_symmetry_space_group_name_H-M 'P m m m'
_symmetry_Int_Tables_number 47
_cell_length_a 3.294
_cell_length_b 5.815
_cell_length_c 11.601
_cell_angle_alpha 90.00
_cell_angle_beta 90.00
_cell_angle_gamma 90.00
loop_
_symmetry_equiv_pos_as_xyz
'x,y,z'
'-x,-y,-z'
'-x,-y,z'
'x,y,-z'
'x,-y,-z'
'-x,y,z'
'-x,y,-z'
'x,-y,z'
loop_
_atom_site_label
_atom_site_type_symbol
_atom_site_fract_x
_atom_site_fract_y
_atom_site_fract_z
Na1 Na 0.000 0.000 0.000
Ce1 Ce 0.000 0.000 0.500
Ce2 Ce 0.000 0.500 0.247
In1 In 0.500 0.000 0.246
In2 In 0.500 0.500 0.000
In3 In 0.500 0.500 0.500
```

This entry pairs a crystal structure of Pa2RhSe4S with its simulated PXRD pattern. Radiation: λ = 1.5418 Å (Cu Kα). Structure: DFT lattice parameters and positions (GGA-PBE).
Lines closer than 0.1° are merged.

Most intense lines, 15 to 90 degrees two-theta, by intensity:
hkl 3 1 -2, 2θ 36.3, rel. 100; hkl 0 0 3, 2θ 35.9, rel. 99; hkl 2 0 -2, 2θ 24.0, rel. 95; hkl 2 0 1, 2θ 23.1, rel. 57; hkl 3 1 1, 2θ 38.4, rel. 55; hkl 0 2 0, 2θ 46.0, rel. 44; hkl 1 1 -3, 2θ 41.2, rel. 40; hkl 3 1 -1, 2θ 32.8, rel. 40

Structural model:
```
data_Pa2RhSe4S
_symmetry_space_group_name_H-M 'C 1 2/m 1'
_symmetry_Int_Tables_number 12
_cell_length_a 11.516
_cell_length_b 3.946
_cell_length_c 7.933
_cell_angle_alpha 90.00
_cell_angle_beta 109.02
_cell_angle_gamma 90.00
loop_
_symmetry_equiv_pos_as_xyz
'x,y,z'
'-x,-y,-z'
'-x,y,-z'
'x,-y,z'
'x+1/2,y+1/2,z'
'-x+1/2,-y+1/2,-z'
'-x+1/2,y+1/2,-z'
'x+1/2,-y+1/2,z'
loop_
_atom_site_label
_atom_site_type_symbol
_atom_site_fract_x
_atom_site_fract_y
_atom_site_fract_z
Pa1 Pa 0.151 0.000 0.187
Rh1 Rh 0.000 0.000 0.500
Se1 Se 0.134 0.500 0.460
Se2 Se 0.165 0.000 0.815
S1 S 0.000 0.500 0.000
```